# 1
Theoretical powder diffractogram of LiAlPb for CuKα, from a crystal structure in Alexandria, relaxed with PBE.

Top 6 peaks for 5 to 70 degrees two-theta, by angle:
d = 5.292 Å, I = 100, hkl 0 0 1; d = 3.917 Å, I = 73, hkl 2 0 1; d = 3.401 Å, I = 67, hkl 4 0 -1; d = 2.806 Å, I = 84, hkl 1 1 -1; d = 2.737 Å, I = 62, hkl 3 1 0; d = 2.319 Å, I = 56, hkl 3 1 1

Atomic structure:
```
data_LiAlPb
_chemical_formula_sum 'Li4 Al4 Pb4'
_space_group_name_H-M_alt 'C 1 m 1'
_space_group_IT_number 8
_space_group_name_Hall 'C -2y'
_cell_length_a 15.162
_cell_length_b 3.291
_cell_length_c 5.423
_cell_angle_alpha 90.00
_cell_angle_beta 102.65
_cell_angle_gamma 90.00
loop_
_atom_site_label
_atom_site_type_symbol
_atom_site_fract_x
_atom_site_fract_y
_atom_site_fract_z
Li1 Li 0.000 0.000 0.000
Li2 Li 0.153 0.000 0.749
Al1 Al 0.163 0.500 0.215
Al2 Al 0.310 0.000 0.168
Pb1 Pb 0.313 0.500 0.682
Pb2 Pb 0.498 0.000 0.479
```

# 2
Theoretical powder diffractogram of Ce12PaIr6 for CuKα, from a crystal structure in Alexandria, relaxed with PBE.

Top 6 peaks for 5 to 70 degrees two-theta, by angle:
d = 2.778 Å, I = 21, hkl 3 0 0; d = 2.566 Å, I = 20, hkl 2 0 5; d = 2.491 Å, I = 29, hkl 2 1 4; d = 2.473 Å, I = 100, hkl 0 3 3; d = 2.240 Å, I = 13, hkl 1 0 7; d = 1.604 Å, I = 22, hkl 3 3 0

Atomic structure:
```
data_Ce12PaIr6
_chemical_formula_sum 'Ce36 Pa3 Ir18'
_space_group_name_H-M_alt 'R -3 m'
_space_group_IT_number 166
_space_group_name_Hall '-R 3 2"'
_cell_length_a 9.6247
_cell_length_b 9.6247
_cell_length_c 16.2804
_cell_angle_alpha 90.00
_cell_angle_beta 90.00
_cell_angle_gamma 120.00
loop_
_atom_site_label
_atom_site_type_symbol
_atom_site_fract_x
_atom_site_fract_y
_atom_site_fract_z
Ce1 Ce 0.0627 0.5314 0.3951
Ce2 Ce 0.1103 0.5551 0.0754
Pa1 Pa 0.0000 0.0000 0.0000
Ir1 Ir 0.1057 0.5528 0.7865
```

# 3
Theoretical powder diffractogram of Tb4Ni3Bi8 for CuKα, from a crystal structure in Alexandria, relaxed with PBE.

Top 6 peaks for 5 to 70 degrees two-theta, by angle:
d = 3.125 Å, I = 32, hkl 0 0 6; d = 3.044 Å, I = 64, hkl 1 1 2; d = 2.653 Å, I = 100, hkl 1 1 4; d = 2.275 Å, I = 59, hkl 2 0 0; d = 1.839 Å, I = 30, hkl 2 0 6; d = 1.376 Å, I = 27, hkl 3 1 4

Atomic structure:
```
data_Tb4Ni3Bi8
_chemical_formula_sum 'Tb4 Ni3 Bi8'
_space_group_name_H-M_alt 'P -4 m 2'
_space_group_IT_number 115
_space_group_name_Hall 'P -4 -2'
_cell_length_a 4.551
_cell_length_b 4.551
_cell_length_c 18.748
_cell_angle_alpha 90.00
_cell_angle_beta 90.00
_cell_angle_gamma 90.00
loop_
_atom_site_label
_atom_site_type_symbol
_atom_site_fract_x
_atom_site_fract_y
_atom_site_fract_z
Tb1 Tb 0.000 0.500 0.111
Tb2 Tb 0.000 0.500 0.613
Ni1 Ni 0.000 0.000 0.000
Ni2 Ni 0.000 0.000 0.500
Ni3 Ni 0.500 0.500 0.500
Bi1 Bi 0.000 0.000 0.249
Bi2 Bi 0.000 0.500 0.424
Bi3 Bi 0.000 0.500 0.929
Bi4 Bi 0.500 0.500 0.249
```

# 4
Theoretical powder diffractogram of Tb7YEr2 for CuKα, from a crystal structure in Alexandria, relaxed with PBE.

Top 6 peaks for 5 to 70 degrees two-theta, by angle:
d = 2.903 Å, I = 83, hkl 1 2 1; d = 2.850 Å, I = 100, hkl 1 0 5; d = 2.720 Å, I = 46, hkl 2 0 0; d = 2.688 Å, I = 40, hkl 0 2 4; d = 1.912 Å, I = 30, hkl 2 2 4; d = 1.494 Å, I = 28, hkl 1 4 5

Atomic structure:
```
data_Tb7YEr2
_chemical_formula_sum 'Tb14 Y2 Er4'
_space_group_name_H-M_alt 'I m m m'
_space_group_IT_number 71
_space_group_name_Hall '-I 2 2'
_cell_length_a 5.439
_cell_length_b 7.015
_cell_length_c 16.731
_cell_angle_alpha 90.00
_cell_angle_beta 90.00
_cell_angle_gamma 90.00
loop_
_atom_site_label
_atom_site_type_symbol
_atom_site_fract_x
_atom_site_fract_y
_atom_site_fract_z
Tb1 Tb 0.000 0.000 0.000
Tb2 Tb 0.000 0.250 0.390
Tb3 Tb 0.000 0.500 0.200
Y1 Y 0.000 0.500 0.000
Er1 Er 0.000 0.000 0.199
```